Record 1
The following is a calculated powder diffractogram of HfTi5In3. It was derived from a structure optimized by DFT (PBE), using a wavelength of 1.5418 Å.

Largest 10 diffraction maxima, low angle first, 10° ≤ 2θ ≤ 90°:
| 2theta | d (Å) | I/Imax |
| --- | --- | --- |
| 17.14 | 5.172 | 25 |
| 26.28 | 3.391 | 38 |
| 27.71 | 3.219 | 32 |
| 33.82 | 2.650 | 56 |
| 34.69 | 2.586 | 55 |
| 36.12 | 2.487 | 100 |
| 37.21 | 2.416 | 30 |
| 41.24 | 2.189 | 26 |
| 51.78 | 1.766 | 37 |
| 63.11 | 1.473 | 27 |

```
data_HfTi5In3
_space_group_name_H-M_alt 'P 1'
_space_group_IT_number 1
_space_group_name_Hall 'P 1'
_cell_length_a 8.529
_cell_length_b 8.529
_cell_length_c 8.529
_cell_angle_alpha 129.22
_cell_angle_beta 129.22
_cell_angle_gamma 74.66
loop_
_atom_site_label
_atom_site_type_symbol
_atom_site_fract_x
_atom_site_fract_y
_atom_site_fract_z
Hf1 Hf 0.250 0.750 0.500
Hf2 Hf 0.750 0.250 0.500
Ti1 Ti 0.000 0.000 0.000
Ti2 Ti 0.069 0.569 0.926
Ti3 Ti 0.143 0.069 0.500
Ti4 Ti 0.357 0.857 0.926
Ti5 Ti 0.431 0.357 0.500
Ti6 Ti 0.500 0.500 0.000
Ti7 Ti 0.569 0.643 0.500
Ti8 Ti 0.643 0.143 0.074
Ti9 Ti 0.857 0.931 0.500
Ti10 Ti 0.931 0.431 0.074
In1 In 0.123 0.377 0.500
In2 In 0.250 0.250 0.000
In3 In 0.377 0.877 0.253
In4 In 0.623 0.123 0.747
In5 In 0.750 0.750 0.000
In6 In 0.877 0.623 0.500
```

---

Record 2
The following is a calculated powder diffractogram of Hf11Ti4In9. It was derived from a structure optimized by DFT (PBE), using a wavelength of 1.5418 Å.

Largest 10 diffraction maxima, low angle first, 10° ≤ 2θ ≤ 90°:
| 2theta | d (Å) | I/Imax |
| --- | --- | --- |
| 25.06 | 3.553 | 12 |
| 32.96 | 2.717 | 9 |
| 33.98 | 2.639 | 17 |
| 35.09 | 2.558 | 14 |
| 35.74 | 2.512 | 49 |
| 36.82 | 2.441 | 100 |
| 39.01 | 2.309 | 12 |
| 54.63 | 1.680 | 12 |
| 64.92 | 1.436 | 12 |
| 67.01 | 1.396 | 15 |

```
data_Hf11Ti4In9
_space_group_name_H-M_alt 'P 1'
_space_group_IT_number 1
_space_group_name_Hall 'P 1'
_cell_length_a 12.815
_cell_length_b 12.815
_cell_length_c 3.360
_cell_angle_alpha 90.00
_cell_angle_beta 90.00
_cell_angle_gamma 112.72
loop_
_atom_site_label
_atom_site_type_symbol
_atom_site_fract_x
_atom_site_fract_y
_atom_site_fract_z
Hf1 Hf 0.000 0.000 0.000
Hf2 Hf 0.062 0.412 0.000
Hf3 Hf 0.156 0.844 0.000
Hf4 Hf 0.295 0.295 0.000
Hf5 Hf 0.365 0.635 0.000
Hf6 Hf 0.412 0.062 0.000
Hf7 Hf 0.588 0.938 0.000
Hf8 Hf 0.635 0.365 0.000
Hf9 Hf 0.705 0.705 0.000
Hf10 Hf 0.844 0.156 0.000
Hf11 Hf 0.938 0.588 0.000
Ti1 Ti 0.256 0.450 0.500
Ti2 Ti 0.450 0.256 0.500
Ti3 Ti 0.550 0.744 0.500
Ti4 Ti 0.744 0.550 0.500
In1 In 0.068 0.217 0.500
In2 In 0.155 0.631 0.500
In3 In 0.217 0.068 0.500
In4 In 0.369 0.845 0.500
In5 In 0.500 0.500 0.500
In6 In 0.631 0.155 0.500
In7 In 0.783 0.932 0.500
In8 In 0.845 0.369 0.500
In9 In 0.932 0.783 0.500
```

---

Record 3
The following is a calculated powder diffractogram of Hf2Ti7In. It was derived from a structure optimized by DFT (PBE), using a wavelength of 1.5418 Å.

Largest 10 diffraction maxima, low angle first, 10° ≤ 2θ ≤ 90°:
| 2theta | d (Å) | I/Imax |
| --- | --- | --- |
| 19.84 | 4.474 | 45 |
| 30.89 | 2.895 | 56 |
| 33.20 | 2.699 | 20 |
| 35.37 | 2.538 | 34 |
| 36.51 | 2.461 | 40 |
| 37.47 | 2.400 | 46 |
| 40.01 | 2.254 | 100 |
| 40.32 | 2.237 | 24 |
| 46.62 | 1.948 | 24 |
| 63.93 | 1.456 | 23 |

```
data_Hf2Ti7In
_space_group_name_H-M_alt 'P 1'
_space_group_IT_number 1
_space_group_name_Hall 'P 1'
_cell_length_a 12.299
_cell_length_b 12.299
_cell_length_c 2.897
_cell_angle_alpha 90.00
_cell_angle_beta 90.00
_cell_angle_gamma 154.65
loop_
_atom_site_label
_atom_site_type_symbol
_atom_site_fract_x
_atom_site_fract_y
_atom_site_fract_z
Hf1 Hf 0.206 0.794 0.000
Hf2 Hf 0.794 0.206 0.000
Ti1 Ti 0.000 0.000 0.000
Ti2 Ti 0.154 0.354 0.000
Ti3 Ti 0.313 0.687 0.500
Ti4 Ti 0.354 0.154 0.000
Ti5 Ti 0.646 0.846 0.000
Ti6 Ti 0.687 0.313 0.500
Ti7 Ti 0.846 0.646 0.000
In1 In 0.500 0.500 0.500
```

---

Record 4
The following is a calculated powder diffractogram of Hf7TiIn3. It was derived from a structure optimized by DFT (PBE), using a wavelength of 1.5418 Å.

Largest 10 diffraction maxima, low angle first, 10° ≤ 2θ ≤ 90°:
| 2theta | d (Å) | I/Imax |
| --- | --- | --- |
| 27.13 | 3.286 | 36 |
| 33.71 | 2.659 | 22 |
| 34.35 | 2.611 | 55 |
| 34.50 | 2.599 | 61 |
| 36.61 | 2.455 | 43 |
| 37.98 | 2.369 | 100 |
| 49.48 | 1.842 | 40 |
| 63.93 | 1.456 | 16 |
| 64.12 | 1.452 | 22 |
| 70.85 | 1.330 | 20 |

```
data_Hf7TiIn3
_space_group_name_H-M_alt 'P 1'
_space_group_IT_number 1
_space_group_name_Hall 'P 1'
_cell_length_a 7.454
_cell_length_b 7.454
_cell_length_c 7.454
_cell_angle_alpha 139.18
_cell_angle_beta 102.98
_cell_angle_gamma 91.06
loop_
_atom_site_label
_atom_site_type_symbol
_atom_site_fract_x
_atom_site_fract_y
_atom_site_fract_z
Hf1 Hf 0.000 0.000 0.000
Hf2 Hf 0.094 0.763 0.331
Hf3 Hf 0.300 0.500 0.800
Hf4 Hf 0.432 0.763 0.669
Hf5 Hf 0.568 0.237 0.331
Hf6 Hf 0.700 0.500 0.200
Hf7 Hf 0.906 0.237 0.669
Ti1 Ti 0.000 0.500 0.500
In1 In 0.277 0.277 0.000
In2 In 0.500 0.000 0.500
In3 In 0.723 0.723 0.000
```

---

Record 5
The following is a calculated powder diffractogram of Hf5TiIn2. It was derived from a structure optimized by DFT (PBE), using a wavelength of 1.5418 Å.

Largest 10 diffraction maxima, low angle first, 10° ≤ 2θ ≤ 90°:
| 2theta | d (Å) | I/Imax |
| --- | --- | --- |
| 19.53 | 4.546 | 4 |
| 20.94 | 4.242 | 4 |
| 35.16 | 2.552 | 100 |
| 39.65 | 2.273 | 17 |
| 41.40 | 2.181 | 32 |
| 58.66 | 1.574 | 22 |
| 59.99 | 1.542 | 11 |
| 69.06 | 1.360 | 13 |
| 71.47 | 1.320 | 25 |
| 74.33 | 1.276 | 11 |

```
data_Hf5TiIn2
_space_group_name_H-M_alt 'P 1'
_space_group_IT_number 1
_space_group_name_Hall 'P 1'
_cell_length_a 9.601
_cell_length_b 9.601
_cell_length_c 9.601
_cell_angle_alpha 153.74
_cell_angle_beta 153.74
_cell_angle_gamma 37.48
loop_
_atom_site_label
_atom_site_type_symbol
_atom_site_fract_x
_atom_site_fract_y
_atom_site_fract_z
Hf1 Hf 0.000 0.000 0.000
Hf2 Hf 0.120 0.620 0.500
Hf3 Hf 0.380 0.880 0.500
Hf4 Hf 0.620 0.120 0.500
Hf5 Hf 0.880 0.380 0.500
Ti1 Ti 0.500 0.500 0.000
In1 In 0.250 0.250 0.000
In2 In 0.750 0.750 0.000
```

---

Record 6
The following is a calculated powder diffractogram of Hf2Ti4In3. It was derived from a structure optimized by DFT (PBE), using a wavelength of 1.5418 Å.

Largest 10 diffraction maxima, low angle first, 10° ≤ 2θ ≤ 90°:
| 2theta | d (Å) | I/Imax |
| --- | --- | --- |
| 11.98 | 7.390 | 57 |
| 24.08 | 3.695 | 18 |
| 33.49 | 2.676 | 32 |
| 35.97 | 2.497 | 47 |
| 36.47 | 2.463 | 58 |
| 37.48 | 2.400 | 100 |
| 38.36 | 2.346 | 98 |
| 38.63 | 2.331 | 19 |
| 62.89 | 1.478 | 19 |
| 67.49 | 1.388 | 18 |

```
data_Hf2Ti4In3
_space_group_name_H-M_alt 'P 1'
_space_group_IT_number 1
_space_group_name_Hall 'P 1'
_cell_length_a 7.671
_cell_length_b 7.671
_cell_length_c 7.926
_cell_angle_alpha 110.69
_cell_angle_beta 110.69
_cell_angle_gamma 24.25
loop_
_atom_site_label
_atom_site_type_symbol
_atom_site_fract_x
_atom_site_fract_y
_atom_site_fract_z
Hf1 Hf 0.166 0.166 0.000
Hf2 Hf 0.834 0.834 0.000
Ti1 Ti 0.043 0.043 0.329
Ti2 Ti 0.299 0.299 0.666
Ti3 Ti 0.701 0.701 0.334
Ti4 Ti 0.957 0.957 0.671
In1 In 0.369 0.369 0.347
In2 In 0.500 0.500 0.000
In3 In 0.631 0.631 0.653
```

---

Record 7
The following is a calculated powder diffractogram of Hf7TiIn4. It was derived from a structure optimized by DFT (PBE), using a wavelength of 1.5418 Å.

Largest 10 diffraction maxima, low angle first, 10° ≤ 2θ ≤ 90°:
| 2theta | d (Å) | I/Imax |
| --- | --- | --- |
| 31.34 | 2.854 | 12 |
| 32.72 | 2.737 | 18 |
| 34.42 | 2.605 | 13 |
| 36.12 | 2.487 | 100 |
| 36.37 | 2.470 | 58 |
| 52.40 | 1.746 | 17 |
| 64.72 | 1.440 | 8 |
| 65.17 | 1.431 | 10 |
| 65.26 | 1.430 | 12 |
| 76.71 | 1.242 | 8 |

```
data_Hf7TiIn4
_space_group_name_H-M_alt 'P 1'
_space_group_IT_number 1
_space_group_name_Hall 'P 1'
_cell_length_a 5.800
_cell_length_b 5.800
_cell_length_c 11.526
_cell_angle_alpha 108.04
_cell_angle_beta 108.04
_cell_angle_gamma 50.47
loop_
_atom_site_label
_atom_site_type_symbol
_atom_site_fract_x
_atom_site_fract_y
_atom_site_fract_z
Hf1 Hf 0.000 0.000 0.000
Hf2 Hf 0.160 0.160 0.531
Hf3 Hf 0.287 0.287 0.076
Hf4 Hf 0.496 0.496 0.630
Hf5 Hf 0.504 0.504 0.370
Hf6 Hf 0.713 0.713 0.924
Hf7 Hf 0.840 0.840 0.469
Ti1 Ti 0.500 0.500 0.000
In1 In 0.134 0.134 0.784
In2 In 0.178 0.178 0.284
In3 In 0.822 0.822 0.716
In4 In 0.866 0.866 0.216
```

---

Record 8
The following is a calculated powder diffractogram of Hf6TlIn. It was derived from a structure optimized by DFT (PBE), using a wavelength of 1.5418 Å.

Largest 10 diffraction maxima, low angle first, 10° ≤ 2θ ≤ 90°:
| 2theta | d (Å) | I/Imax |
| --- | --- | --- |
| 31.99 | 2.797 | 30 |
| 35.89 | 2.502 | 100 |
| 39.45 | 2.284 | 69 |
| 57.02 | 1.615 | 10 |
| 59.58 | 1.552 | 23 |
| 62.07 | 1.495 | 37 |
| 66.90 | 1.399 | 15 |
| 76.08 | 1.251 | 10 |
| 78.32 | 1.221 | 21 |
| 80.53 | 1.193 | 9 |

```
data_Hf6TlIn
_space_group_name_H-M_alt 'P 1'
_space_group_IT_number 1
_space_group_name_Hall 'P 1'
_cell_length_a 5.595
_cell_length_b 5.595
_cell_length_c 5.595
_cell_angle_alpha 90.00
_cell_angle_beta 90.00
_cell_angle_gamma 90.00
loop_
_atom_site_label
_atom_site_type_symbol
_atom_site_fract_x
_atom_site_fract_y
_atom_site_fract_z
Hf1 Hf 0.000 0.250 0.500
Hf2 Hf 0.000 0.750 0.500
Hf3 Hf 0.250 0.500 0.000
Hf4 Hf 0.500 0.000 0.250
Hf5 Hf 0.500 0.000 0.750
Hf6 Hf 0.750 0.500 0.000
Tl1 Tl 0.000 0.000 0.000
In1 In 0.500 0.500 0.500
```

---

Record 9
The following is a calculated powder diffractogram of Hf7TlIn3. It was derived from a structure optimized by DFT (PBE), using a wavelength of 1.5418 Å.

Largest 10 diffraction maxima, low angle first, 10° ≤ 2θ ≤ 90°:
| 2theta | d (Å) | I/Imax |
| --- | --- | --- |
| 25.41 | 3.505 | 34 |
| 29.21 | 3.057 | 39 |
| 33.63 | 2.665 | 100 |
| 35.01 | 2.563 | 65 |
| 35.88 | 2.503 | 36 |
| 36.38 | 2.469 | 83 |
| 36.91 | 2.435 | 45 |
| 37.44 | 2.402 | 27 |
| 37.90 | 2.374 | 59 |
| 49.33 | 1.847 | 44 |

```
data_Hf7TlIn3
_space_group_name_H-M_alt 'P 1'
_space_group_IT_number 1
_space_group_name_Hall 'P 1'
_cell_length_a 7.422
_cell_length_b 7.422
_cell_length_c 5.338
_cell_angle_alpha 108.81
_cell_angle_beta 108.81
_cell_angle_gamma 87.36
loop_
_atom_site_label
_atom_site_type_symbol
_atom_site_fract_x
_atom_site_fract_y
_atom_site_fract_z
Hf1 Hf 0.000 0.000 0.000
Hf2 Hf 0.089 0.517 0.297
Hf3 Hf 0.298 0.298 0.855
Hf4 Hf 0.483 0.911 0.703
Hf5 Hf 0.517 0.089 0.297
Hf6 Hf 0.702 0.702 0.145
Hf7 Hf 0.911 0.483 0.703
Tl1 Tl 0.000 0.000 0.500
In1 In 0.282 0.718 0.000
In2 In 0.500 0.500 0.500
In3 In 0.718 0.282 0.000
```

---

Record 10
The following is a calculated powder diffractogram of Hf4V2In5. It was derived from a structure optimized by DFT (PBE), using a wavelength of 1.5418 Å.

Largest 10 diffraction maxima, low angle first, 10° ≤ 2θ ≤ 90°:
| 2theta | d (Å) | I/Imax |
| --- | --- | --- |
| 32.66 | 2.742 | 51 |
| 34.75 | 2.582 | 38 |
| 35.01 | 2.563 | 100 |
| 35.20 | 2.549 | 30 |
| 36.08 | 2.489 | 72 |
| 36.53 | 2.460 | 60 |
| 38.15 | 2.359 | 38 |
| 39.59 | 2.277 | 27 |
| 39.89 | 2.260 | 26 |
| 40.47 | 2.229 | 27 |

```
data_Hf4V2In5
_space_group_name_H-M_alt 'P 1'
_space_group_IT_number 1
_space_group_name_Hall 'P 1'
_cell_length_a 7.797
_cell_length_b 3.249
_cell_length_c 9.250
_cell_angle_alpha 90.00
_cell_angle_beta 96.61
_cell_angle_gamma 90.00
loop_
_atom_site_label
_atom_site_type_symbol
_atom_site_fract_x
_atom_site_fract_y
_atom_site_fract_z
Hf1 Hf 0.184 0.000 0.343
Hf2 Hf 0.237 0.000 0.928
Hf3 Hf 0.763 0.000 0.072
Hf4 Hf 0.816 0.000 0.657
V1 V 0.063 0.500 0.113
V2 V 0.937 0.500 0.887
In1 In 0.153 0.500 0.635
In2 In 0.449 0.500 0.172
In3 In 0.500 0.500 0.500
In4 In 0.551 0.500 0.828
In5 In 0.847 0.500 0.365
```

---

Record 11
The following is a calculated powder diffractogram of Hf4Zn3In. It was derived from a structure optimized by DFT (PBE), using a wavelength of 1.5418 Å.

Largest 10 diffraction maxima, low angle first, 10° ≤ 2θ ≤ 90°:
| 2theta | d (Å) | I/Imax |
| --- | --- | --- |
| 26.12 | 3.412 | 17 |
| 37.07 | 2.425 | 27 |
| 37.47 | 2.400 | 25 |
| 38.09 | 2.363 | 100 |
| 53.73 | 1.706 | 18 |
| 67.49 | 1.388 | 18 |
| 68.01 | 1.378 | 17 |
| 69.24 | 1.357 | 9 |
| 69.49 | 1.353 | 8 |
| 81.48 | 1.181 | 11 |

```
data_Hf4Zn3In
_space_group_name_H-M_alt 'P 1'
_space_group_IT_number 1
_space_group_name_Hall 'P 1'
_cell_length_a 3.275
_cell_length_b 4.850
_cell_length_c 9.602
_cell_angle_alpha 90.00
_cell_angle_beta 90.00
_cell_angle_gamma 90.00
loop_
_atom_site_label
_atom_site_type_symbol
_atom_site_fract_x
_atom_site_fract_y
_atom_site_fract_z
Hf1 Hf 0.000 0.000 0.000
Hf2 Hf 0.000 0.000 0.500
Hf3 Hf 0.000 0.500 0.237
Hf4 Hf 0.000 0.500 0.763
Zn1 Zn 0.500 0.000 0.247
Zn2 Zn 0.500 0.000 0.753
Zn3 Zn 0.500 0.500 0.000
In1 In 0.500 0.500 0.500
```

---

Record 12
The following is a calculated powder diffractogram of Hf3ZnIn2. It was derived from a structure optimized by DFT (PBE), using a wavelength of 1.5418 Å.

Largest 10 diffraction maxima, low angle first, 10° ≤ 2θ ≤ 90°:
| 2theta | d (Å) | I/Imax |
| --- | --- | --- |
| 20.67 | 4.298 | 6 |
| 28.94 | 3.085 | 6 |
| 35.83 | 2.506 | 100 |
| 41.39 | 2.182 | 36 |
| 42.05 | 2.149 | 13 |
| 59.97 | 1.543 | 12 |
| 60.47 | 1.531 | 18 |
| 71.86 | 1.314 | 26 |
| 72.79 | 1.299 | 7 |
| 75.93 | 1.253 | 9 |

```
data_Hf3ZnIn2
_space_group_name_H-M_alt 'P 1'
_space_group_IT_number 1
_space_group_name_Hall 'P 1'
_cell_length_a 3.085
_cell_length_b 3.085
_cell_length_c 12.893
_cell_angle_alpha 90.00
_cell_angle_beta 90.00
_cell_angle_gamma 90.00
loop_
_atom_site_label
_atom_site_type_symbol
_atom_site_fract_x
_atom_site_fract_y
_atom_site_fract_z
Hf1 Hf 0.000 0.000 0.000
Hf2 Hf 0.000 0.000 0.352
Hf3 Hf 0.000 0.000 0.648
Zn1 Zn 0.500 0.500 0.500
In1 In 0.500 0.500 0.175
In2 In 0.500 0.500 0.825
```

---

Record 13
The following is a calculated powder diffractogram of Hf6ZrIn. It was derived from a structure optimized by DFT (PBE), using a wavelength of 1.5418 Å.

Largest 10 diffraction maxima, low angle first, 10° ≤ 2θ ≤ 90°:
| 2theta | d (Å) | I/Imax |
| --- | --- | --- |
| 34.81 | 2.578 | 100 |
| 39.48 | 2.283 | 18 |
| 39.65 | 2.273 | 17 |
| 42.05 | 2.149 | 15 |
| 57.19 | 1.611 | 12 |
| 59.04 | 1.565 | 11 |
| 68.60 | 1.368 | 14 |
| 68.84 | 1.364 | 14 |
| 72.17 | 1.309 | 12 |
| 73.48 | 1.289 | 12 |

```
data_Hf6ZrIn
_space_group_name_H-M_alt 'P 1'
_space_group_IT_number 1
_space_group_name_Hall 'P 1'
_cell_length_a 4.297
_cell_length_b 6.443
_cell_length_c 6.443
_cell_angle_alpha 89.76
_cell_angle_beta 90.00
_cell_angle_gamma 90.00
loop_
_atom_site_label
_atom_site_type_symbol
_atom_site_fract_x
_atom_site_fract_y
_atom_site_fract_z
Hf1 Hf 0.000 0.000 0.000
Hf2 Hf 0.000 0.494 0.998
Hf3 Hf 0.000 0.998 0.494
Hf4 Hf 0.500 0.243 0.243
Hf5 Hf 0.500 0.245 0.750
Hf6 Hf 0.500 0.750 0.245
Zr1 Zr 0.000 0.494 0.494
In1 In 0.500 0.747 0.747
```